(1)
The following is a calculated XRD peak list of MgFe8O8F8. It was derived from a cell relaxed with PBE+U, using a wavelength of 1.5418 Å.
Peak positions follow from Bragg's law for the DFT cell and can differ from measured ones.

Largest 10 diffraction maxima, low angle first, 5 to 70 degrees two-theta:
2θ 23.95, intensity 100; 2θ 25.07, intensity 97; 2θ 34.48, intensity 20; 2θ 35.11, intensity 42; 2θ 35.42, intensity 20; 2θ 38.48, intensity 20; 2θ 50.30, intensity 17; 2θ 50.82, intensity 17; 2θ 51.40, intensity 33; 2θ 62.89, intensity 17

Cell and atoms:
a = 5.095 Å, b = 5.190 Å, c = 11.827 Å
α = 88.25°, β = 89.75°, γ = 87.42°
Space group P1 (No. 1)
Asymmetric unit:
Mg 0.000 0.000 0.000
Fe 0.094 0.570 0.372
Fe 0.097 0.543 0.859
Fe 0.465 0.048 0.491
Fe 0.467 0.036 0.744
Fe 0.487 0.054 0.995
Fe 0.582 0.947 0.247
Fe 0.955 0.405 0.616
Fe 0.978 0.455 0.131
O 0.182 0.331 0.990
O 0.195 0.320 0.493
O 0.211 0.325 0.739
O 0.283 0.856 0.873
O 0.345 0.834 0.371
O 0.684 0.161 0.618
O 0.736 0.130 0.118
O 0.834 0.665 0.257
F 0.255 0.331 0.256
F 0.280 0.843 0.119
F 0.313 0.837 0.622
F 0.715 0.160 0.371
F 0.731 0.151 0.860
F 0.808 0.691 0.976
F 0.815 0.651 0.742
F 0.836 0.676 0.501


(2)
The following is a calculated XRD peak list of MnFe4Bi5O15. It was derived from a cell relaxed with PBE+U, using a wavelength of 1.5418 Å.
Peak positions follow from Bragg's law for the DFT cell and can differ from measured ones.

Largest 10 diffraction maxima, low angle first, 5 to 70 degrees two-theta:
2θ 22.10, intensity 82; 2θ 22.24, intensity 40; 2θ 31.22, intensity 51; 2θ 31.33, intensity 100; 2θ 31.70, intensity 99; 2θ 31.84, intensity 49; 2θ 39.07, intensity 31; 2θ 44.99, intensity 24; 2θ 50.52, intensity 26; 2θ 56.24, intensity 32

Cell and atoms:
a = 5.647 Å, b = 5.711 Å, c = 23.251 Å
α = 83.71°, β = 89.74°, γ = 60.37°
Space group P1 (No. 1)
Asymmetric unit:
Mn 0.000 0.000 0.000
Mn 0.397 0.209 0.201
Fe 0.098 0.814 0.301
Fe 0.195 0.616 0.600
Fe 0.292 0.417 0.900
Fe 0.493 0.016 0.500
Fe 0.593 0.819 0.800
Fe 0.688 0.623 0.098
Fe 0.795 0.417 0.400
Fe 0.892 0.217 0.700
Bi 0.104 0.795 0.444
Bi 0.203 0.598 0.743
Bi 0.302 0.389 0.046
Bi 0.409 0.193 0.344
Bi 0.503 0.996 0.644
Bi 0.603 0.793 0.944
Bi 0.704 0.598 0.243
Bi 0.805 0.395 0.544
Bi 0.902 0.198 0.844
Bi 0.996 0.008 0.144
O 0.017 0.578 0.368
O 0.047 0.068 0.358
O 0.056 0.348 0.637
O 0.086 0.362 0.132
O 0.110 0.182 0.468
O 0.195 0.469 0.257
O 0.205 0.182 0.967
O 0.235 0.682 0.955
O 0.249 0.955 0.237
O 0.299 0.791 0.063
O 0.300 0.950 0.737
O 0.393 0.072 0.858
O 0.411 0.784 0.567
O 0.443 0.271 0.557
O 0.454 0.548 0.837
O 0.504 0.548 0.336
O 0.509 0.384 0.667
O 0.590 0.671 0.458
O 0.605 0.385 0.166
O 0.630 0.892 0.159
O 0.653 0.149 0.437
O 0.703 0.153 0.938
O 0.722 0.970 0.271
O 0.796 0.262 0.052
O 0.811 0.985 0.767
O 0.843 0.471 0.757
O 0.858 0.763 0.032
O 0.899 0.749 0.537
O 0.911 0.582 0.867
O 0.990 0.871 0.657